No. 1
Calculated powder XRD pattern of Cu2P3O10 for Cu Ka, from a cell relaxed with PBE.

Most intense lines, 2θ = 5–70°, sorted by position:
9.007 Å, 2θ = 9.82°, intensity 671
4.503 Å, 2θ = 19.71°, intensity 462
3.681 Å, 2θ = 24.18°, intensity 931
3.106 Å, 2θ = 28.74°, intensity 1000
2.830 Å, 2θ = 31.62°, intensity 500
2.767 Å, 2θ = 32.35°, intensity 439

Structural model:
Cell: 4.8021 8.3035 9.2392 Å, 90.00 102.88 90.00°
Fractional coordinates of all 30 atoms:
1 Cu 0.0760 0.0645 0.3194
2 Cu 0.0760 0.4355 0.3194
3 Cu 0.9240 0.5645 0.6806
4 Cu 0.9240 0.9355 0.6806
5 P 0.3121 0.2500 0.8230
6 P 0.4141 0.7500 0.4454
7 P 0.4964 0.2500 0.1499
8 P 0.5036 0.7500 0.8501
9 P 0.5859 0.2500 0.5546
10 P 0.6879 0.7500 0.1770
11 O 0.1486 0.0944 0.8090
12 O 0.1486 0.4056 0.8090
13 O 0.1848 0.7500 0.7602
14 O 0.2504 0.5964 0.4652
15 O 0.2504 0.9036 0.4652
16 O 0.2854 0.2500 0.4464
17 O 0.3451 0.0958 0.1766
18 O 0.3451 0.4042 0.1766
19 O 0.4604 0.7500 0.2800
20 O 0.4660 0.7500 0.0196
21 O 0.5340 0.2500 0.9804
22 O 0.5396 0.2500 0.7200
23 O 0.6549 0.5958 0.8234
24 O 0.6549 0.9042 0.8234
25 O 0.7146 0.7500 0.5536
26 O 0.7496 0.0964 0.5348
27 O 0.7496 0.4036 0.5348
28 O 0.8152 0.2500 0.2398
29 O 0.8514 0.5944 0.1910
30 O 0.8514 0.9056 0.1910


No. 2
Calculated powder XRD pattern of CuP3O9 for Cu Ka, from a cell relaxed with PBE.

Most intense lines, 2θ = 5–70°, sorted by position:
7.621 Å, 2θ = 11.61°, intensity 1000
4.972 Å, 2θ = 17.84°, intensity 551
4.689 Å, 2θ = 18.92°, intensity 489
4.427 Å, 2θ = 20.06°, intensity 877
3.950 Å, 2θ = 22.51°, intensity 642
3.808 Å, 2θ = 23.36°, intensity 351

Structural model:
Cell: 9.6069 9.7575 10.1052 Å, 101.46 118.23 107.26°
Fractional coordinates of all 52 atoms:
1 Cu 0.1461 0.3169 0.4365
2 Cu 0.3109 0.0488 0.0947
3 Cu 0.6891 0.9512 0.9053
4 Cu 0.8539 0.6831 0.5635
5 P 0.0014 0.8722 0.1200
6 P 0.0642 0.7762 0.4039
7 P 0.1377 0.5670 0.7212
8 P 0.2894 0.3575 0.2243
9 P 0.4630 0.7859 0.0423
10 P 0.4976 0.3089 0.6878
11 P 0.5024 0.6911 0.3122
12 P 0.5370 0.2141 0.9577
13 P 0.7106 0.6425 0.7757
14 P 0.8623 0.4330 0.2788
15 P 0.9358 0.2238 0.5961
16 P 0.9986 0.1278 0.8800
17 O 0.0097 0.5946 0.3150
18 O 0.0299 0.1865 0.7564
19 O 0.0383 0.2032 0.5202
20 O 0.0673 0.6887 0.7206
21 O 0.0745 0.0120 0.9075
22 O 0.1138 0.2885 0.0425
23 O 0.1933 0.9293 0.1802
24 O 0.2117 0.5423 0.6239
25 O 0.2575 0.4266 0.3506
26 O 0.2582 0.8760 0.5167
27 O 0.2826 0.6236 0.9159
28 O 0.3233 0.2529 0.5224
29 O 0.3565 0.2379 0.2508
30 O 0.3734 0.7410 0.3154
31 O 0.4220 0.5007 0.2237
32 O 0.4219 0.9174 0.0866
33 O 0.4226 0.1921 0.0218
34 O 0.4428 0.2610 0.8073
35 O 0.5572 0.7390 0.1927
36 O 0.5774 0.8079 0.9782
37 O 0.5781 0.0826 0.9134
38 O 0.5780 0.4993 0.7763
39 O 0.6266 0.2590 0.6846
40 O 0.6435 0.7621 0.7492
41 O 0.6767 0.7471 0.4776
42 O 0.7174 0.3764 0.0841
43 O 0.7418 0.1240 0.4833
44 O 0.7425 0.5734 0.6494
45 O 0.7883 0.4577 0.3761
46 O 0.8067 0.0707 0.8198
47 O 0.8862 0.7115 0.9575
48 O 0.9255 0.9880 0.0925
49 O 0.9327 0.3113 0.2794
50 O 0.9617 0.7968 0.4798
51 O 0.9701 0.8135 0.2436
52 O 0.9903 0.4054 0.6850


No. 3
Calculated powder XRD pattern of Cu5P3O13 for Cu Ka, from a cell relaxed with PBE.

Most intense lines, 2θ = 5–70°, sorted by position:
10.091 Å, 2θ = 8.76°, intensity 691
8.173 Å, 2θ = 10.82°, intensity 634
3.364 Å, 2θ = 26.50°, intensity 791
3.110 Å, 2θ = 28.71°, intensity 1000
2.646 Å, 2θ = 33.88°, intensity 687
2.518 Å, 2θ = 35.66°, intensity 577

Structural model:
Cell: 6.2149 8.1730 10.0912 Å, 90.05 90.04 90.02°
Fractional coordinates of all 42 atoms:
1 Cu 0.0024 0.1485 0.2821
2 Cu 0.2474 0.8516 0.4277
3 Cu 0.2499 0.7748 0.0448
4 Cu 0.2507 0.5590 0.6252
5 Cu 0.4954 0.1484 0.2831
6 Cu 0.5046 0.8516 0.7169
7 Cu 0.7493 0.4410 0.3748
8 Cu 0.7501 0.2252 0.9552
9 Cu 0.7526 0.1484 0.5723
10 Cu 0.9976 0.8515 0.7179
11 P 0.2491 0.5003 0.2804
12 P 0.2498 0.1417 0.0100
13 P 0.2505 0.1483 0.6156
14 P 0.7495 0.8517 0.3844
15 P 0.7502 0.8583 0.9900
16 P 0.7509 0.4997 0.7196
17 O 0.0426 0.0847 0.6885
18 O 0.0449 0.3861 0.2963
19 O 0.0544 0.2454 0.9707
20 O 0.2484 0.6190 0.4003
21 O 0.2493 0.0844 0.4693
22 O 0.2493 0.1112 0.1674
23 O 0.2495 0.9687 0.9442
24 O 0.2511 0.3323 0.6139
25 O 0.2506 0.5792 0.1452
26 O 0.2506 0.7955 0.6225
27 O 0.4458 0.2451 0.9713
28 O 0.4526 0.3858 0.2976
29 O 0.4582 0.0844 0.6883
30 O 0.5418 0.9156 0.3117
31 O 0.5474 0.6142 0.7024
32 O 0.5542 0.7549 0.0287
33 O 0.7494 0.2045 0.3775
34 O 0.7494 0.4208 0.8548
35 O 0.7489 0.6677 0.3861
36 O 0.7505 0.0313 0.0558
37 O 0.7507 0.8888 0.8326
38 O 0.7507 0.9156 0.5307
39 O 0.7516 0.3810 0.5997
40 O 0.9456 0.7546 0.0293
41 O 0.9551 0.6139 0.7037
42 O 0.9574 0.9153 0.3115


No. 4
Calculated powder XRD pattern of Cu5PO8 for Cu Ka, from a cell relaxed with PBE.

Most intense lines, 2θ = 5–70°, sorted by position:
4.873 Å, 2θ = 18.21°, intensity 263
2.961 Å, 2θ = 30.18°, intensity 1000
2.436 Å, 2θ = 36.89°, intensity 231
2.393 Å, 2θ = 37.59°, intensity 683
1.942 Å, 2θ = 46.77°, intensity 206
1.564 Å, 2θ = 59.07°, intensity 400

Structural model:
Cell: 6.5502 6.5502 6.5502 Å, 130.41 130.41 72.75°
Fractional coordinates of all 14 atoms:
1 Cu 0.0000 0.0000 0.0000
2 Cu 0.1065 0.3573 0.7492
3 Cu 0.6081 0.3573 0.2508
4 Cu 0.6427 0.3919 0.7492
5 Cu 0.6427 0.8935 0.2508
6 P 0.2500 0.7500 0.5000
7 O 0.3327 0.0695 0.7368
8 O 0.3327 0.5960 0.2632
9 O 0.3832 0.1094 0.2739
10 O 0.4040 0.6673 0.7368
11 O 0.8355 0.1094 0.7261
12 O 0.8906 0.1645 0.2739
13 O 0.8906 0.6168 0.7261
14 O 0.9305 0.6673 0.2632


No. 5
Calculated powder XRD pattern of CuP2PbO7 for Cu Ka, from a cell relaxed with PBE.

Most intense lines, 2θ = 5–70°, sorted by position:
6.356 Å, 2θ = 13.93°, intensity 1000
3.396 Å, 2θ = 26.24°, intensity 978
3.319 Å, 2θ = 26.86°, intensity 844
3.098 Å, 2θ = 28.81°, intensity 502
2.963 Å, 2θ = 30.16°, intensity 605
2.776 Å, 2θ = 32.25°, intensity 568

Structural model:
Cell: 5.5527 8.2810 13.7866 Å, 90.00 112.78 90.00°
Fractional coordinates of all 44 atoms:
1 Cu 0.1709 0.1428 0.3878
2 Cu 0.1709 0.3572 0.8878
3 Cu 0.8291 0.6428 0.1122
4 Cu 0.8291 0.8572 0.6122
5 P 0.0917 0.5347 0.3376
6 P 0.0917 0.9653 0.8376
7 P 0.1682 0.6963 0.9874
8 P 0.1682 0.8037 0.4874
9 P 0.8318 0.1963 0.5126
10 P 0.8318 0.3037 0.0126
11 P 0.9083 0.0347 0.1624
12 P 0.9083 0.4653 0.6624
13 Pb 0.4856 0.6739 0.7752
14 Pb 0.4856 0.8261 0.2752
15 Pb 0.5144 0.1739 0.7248
16 Pb 0.5144 0.3261 0.2248
17 O 0.0191 0.1409 0.8484
18 O 0.0191 0.3591 0.3484
19 O 0.1133 0.1648 0.5196
20 O 0.1133 0.3352 0.0196
21 O 0.1591 0.1210 0.2382
22 O 0.1591 0.3790 0.7382
23 O 0.1724 0.6159 0.4517
24 O 0.1724 0.8841 0.9517
25 O 0.2228 0.5946 0.9037
26 O 0.2228 0.9054 0.4037
27 O 0.3216 0.5538 0.3037
28 O 0.3216 0.9462 0.8037
29 O 0.3827 0.6861 0.0967
30 O 0.3827 0.8139 0.5967
31 O 0.6173 0.1861 0.4033
32 O 0.6173 0.3139 0.9033
33 O 0.6784 0.0538 0.1963
34 O 0.6784 0.4462 0.6963
35 O 0.7772 0.0946 0.5963
36 O 0.7772 0.4054 0.0963
37 O 0.8276 0.1159 0.0483
38 O 0.8276 0.3841 0.5483
39 O 0.8409 0.6210 0.2618
40 O 0.8409 0.8790 0.7618
41 O 0.8867 0.6648 0.9804
42 O 0.8867 0.8352 0.4804
43 O 0.9809 0.6409 0.6516
44 O 0.9809 0.8591 0.1516


No. 6
Calculated powder XRD pattern of Cu3P4Pb3O16 for Cu Ka, from a cell relaxed with PBE.

Most intense lines, 2θ = 5–70°, sorted by position:
4.789 Å, 2θ = 18.53°, intensity 1000
4.435 Å, 2θ = 20.02°, intensity 969
2.955 Å, 2θ = 30.25°, intensity 503
2.908 Å, 2θ = 30.75°, intensity 973
2.879 Å, 2θ = 31.06°, intensity 889
2.693 Å, 2θ = 33.27°, intensity 760

Structural model:
Cell: 9.2721 9.2721 18.2081 Å, 114.75 114.75 31.30°
Fractional coordinates of all 52 atoms:
1 Cu 0.0000 0.5000 0.0000
2 Cu 0.0076 0.4404 0.3532
3 Cu 0.4404 0.0076 0.8532
4 Cu 0.5000 0.0000 0.5000
5 Cu 0.5596 0.9924 0.1468
6 Cu 0.9924 0.5596 0.6468
7 P 0.1111 0.6188 0.5294
8 P 0.1224 0.5782 0.2638
9 P 0.3812 0.8889 0.9706
10 P 0.4218 0.8776 0.2362
11 P 0.5782 0.1224 0.7638
12 P 0.6188 0.1111 0.0294
13 P 0.8776 0.4218 0.7362
14 P 0.8889 0.3812 0.4706
15 Pb 0.0838 0.7026 0.9055
16 Pb 0.2122 0.7878 0.7500
17 Pb 0.2974 0.9162 0.5945
18 Pb 0.7026 0.0838 0.4055
19 Pb 0.7878 0.2122 0.2500
20 Pb 0.9162 0.2974 0.0945
21 O 0.0380 0.6054 0.3337
22 O 0.0450 0.3861 0.8200
23 O 0.0535 0.6836 0.6145
24 O 0.0597 0.8096 0.2947
25 O 0.1160 0.7766 0.5254
26 O 0.1386 0.2757 0.5365
27 O 0.1904 0.9403 0.2053
28 O 0.2234 0.8840 0.9746
29 O 0.2757 0.1386 0.0365
30 O 0.2832 0.4396 0.7591
31 O 0.2991 0.3908 0.0051
32 O 0.3164 0.9465 0.8855
33 O 0.3861 0.0450 0.3200
34 O 0.3908 0.2991 0.5051
35 O 0.3946 0.9620 0.1663
36 O 0.4396 0.2832 0.2591
37 O 0.5604 0.7168 0.7409
38 O 0.6054 0.0380 0.8337
39 O 0.6092 0.7009 0.4949
40 O 0.6139 0.9550 0.6800
41 O 0.6836 0.0535 0.1145
42 O 0.7009 0.6092 0.9949
43 O 0.7168 0.5604 0.2409
44 O 0.7243 0.8614 0.9635
45 O 0.7766 0.1160 0.0254
46 O 0.8096 0.0597 0.7947
47 O 0.8614 0.7243 0.4635
48 O 0.8840 0.2234 0.4746
49 O 0.9403 0.1904 0.7053
50 O 0.9465 0.3164 0.3855
51 O 0.9550 0.6139 0.1800
52 O 0.9620 0.3946 0.6663


No. 7
Calculated powder XRD pattern of CuPPb2SO9 for Cu Ka, from a cell relaxed with PBE.

Most intense lines, 2θ = 5–70°, sorted by position:
4.635 Å, 2θ = 19.15°, intensity 649
4.202 Å, 2θ = 21.14°, intensity 332
3.385 Å, 2θ = 26.33°, intensity 1000
2.984 Å, 2θ = 29.95°, intensity 329
2.745 Å, 2θ = 32.62°, intensity 561
2.318 Å, 2θ = 38.84°, intensity 484

Structural model:
Cell: 8.4893 5.7115 8.5035 Å, 90.00 110.92 90.00°
Fractional coordinates of all 28 atoms:
1 Cu 0.0000 0.0000 0.0000
2 Cu 0.0000 0.5000 0.0000
3 P 0.3302 0.2500 0.0139
4 P 0.6698 0.7500 0.9861
5 Pb 0.2359 0.7500 0.7026
6 Pb 0.3774 0.7500 0.2660
7 Pb 0.6226 0.2500 0.7340
8 Pb 0.7641 0.2500 0.2974
9 S 0.1893 0.2500 0.4522
10 S 0.8107 0.7500 0.5478
11 O 0.0726 0.7500 0.1401
12 O 0.0760 0.2500 0.5505
13 O 0.0905 0.2500 0.2692
14 O 0.2171 0.0207 0.9839
15 O 0.2171 0.4793 0.9839
16 O 0.3023 0.0362 0.4984
17 O 0.3023 0.4638 0.4984
18 O 0.4163 0.2500 0.8848
19 O 0.4503 0.2500 0.1996
20 O 0.5497 0.7500 0.8004
21 O 0.5837 0.7500 0.1152
22 O 0.6977 0.5362 0.5016
23 O 0.6977 0.9638 0.5016
24 O 0.7829 0.5207 0.0161
25 O 0.7829 0.9793 0.0161
26 O 0.9095 0.7500 0.7308
27 O 0.9240 0.7500 0.4495
28 O 0.9274 0.2500 0.8599


No. 8
Calculated powder XRD pattern of CuP2PdO for Cu Ka, from a cell relaxed with PBE.

Most intense lines, 2θ = 5–70°, sorted by position:
3.278 Å, 2θ = 27.21°, intensity 523
2.783 Å, 2θ = 32.16°, intensity 1000
2.386 Å, 2θ = 37.70°, intensity 335
2.318 Å, 2θ = 38.86°, intensity 741
1.781 Å, 2θ = 51.30°, intensity 533
1.392 Å, 2θ = 67.28°, intensity 267

Structural model:
Cell: 4.6351 4.6351 3.4807 Å, 90.00 90.00 90.00°
Fractional coordinates of all 5 atoms:
1 Cu 0.0000 0.0000 0.0000
2 P 0.0000 0.5000 0.0000
3 P 0.5000 0.0000 0.0000
4 Pd 0.5000 0.5000 0.5000
5 O 0.0000 0.0000 0.5000